No. 1
Simulated PXRD pattern
Compound: ReH3
Radiation: λ = 1.5418 Å (Cu Kα)
Structure: a structure optimized by DFT (PBE)
Peak positions follow from Bragg's law for the DFT cell and can differ from measured ones.

Structure:
Lattice parameters (Å, degrees): 2.5753 8.4943 2.9395 90.00 90.00 90.00
Space group Imm2 (No. 44)
Symmetry-distinct sites (fractional):
Re 0.0000 0.0000 0.0000
H 0.0000 0.1692 0.7190
H 0.0000 0.5000 0.0033

Main lines, by angle (2θ from 5° to 70°):
20.9°, I = 100.0, (0 2 0)
32.2°, I = 67.2, (0 1 1)
36.5°, I = 49.4, (1 1 0)
42.6°, I = 16.2, (0 4 0)
44.4°, I = 28.4, (0 3 1)
46.9°, I = 24.7, (1 0 1)
47.7°, I = 22.5, (1 3 0)
51.9°, I = 37.0, (1 2 1)
63.2°, I = 15.1, (0 0 2)
65.2°, I = 18.7, (1 4 1)
65.9°, I = 9.0, (1 5 0)
67.4°, I = 8.5, (0 2 2)

=====

No. 2
Simulated PXRD pattern
Compound: CsNpSnBr6
Radiation: λ = 1.5418 Å (Cu Kα)
Structure: a structure optimized by DFT (PBE)
Peak positions follow from Bragg's law for the DFT cell and can differ from measured ones.

Structure:
Lattice parameters (Å, degrees): 10.4886 10.8541 15.1869 90.00 90.00 90.00
Space group Imma (No. 74)
Symmetry-distinct sites (fractional):
Cs 0.0000 0.2500 0.0750
Np 0.0000 0.0000 0.5000
Sn 0.2500 0.2500 0.7500
Br 0.0000 0.2500 0.4330
Br 0.0000 0.2500 0.8379
Br 0.2051 0.0403 0.6227

Main lines, by angle (2θ from 5° to 70°):
10.0°, I = 30.8, (0 1 1)
10.2°, I = 51.5, (1 0 1)
19.3°, I = 100.0, (1 2 1)
19.7°, I = 20.7, (2 1 1)
20.6°, I = 47.9, (2 0 2)
30.4°, I = 23.0, (0 3 3)
31.1°, I = 25.9, (3 0 3)
33.0°, I = 26.1, (0 4 0)
33.5°, I = 71.6, (2 2 4)
34.2°, I = 21.8, (4 0 0)
39.3°, I = 37.5, (2 4 2)
42.5°, I = 21.7, (2 3 5)